No. 1
Starting from DFT lattice parameters and positions (GGA-PBE), the powder X-ray diffraction pattern of Cs3TlSn2Br9 was calculated for Cu Kα (weighted mean of Kα1 and Kα2).

Atomic structure:
Lattice parameters (Å, degrees): 8.363 8.363 10.238 90.00 90.00 120.00
Element x y z (fractional)
1 Cs 0.000 0.000 0.000
2 Cs 0.333 0.667 0.665
3 Cs 0.667 0.333 0.335
4 Tl 0.000 0.000 0.500
5 Sn 0.333 0.667 0.163
6 Sn 0.667 0.333 0.837
7 Br 0.000 0.500 0.000
8 Br 0.176 0.352 0.321
9 Br 0.176 0.824 0.321
10 Br 0.352 0.176 0.679
11 Br 0.500 0.000 0.000
12 Br 0.500 0.500 0.000
13 Br 0.648 0.824 0.321
14 Br 0.824 0.176 0.679
15 Br 0.824 0.648 0.679

Largest 10 diffraction maxima, in order of falling intensity, 10 to 90 degrees two-theta:
| 2θ (°) | d_spacing | Rel. int. |
| --- | --- | --- |
| 30.2 | 2.956 | 100 |
| 43.3 | 2.090 | 72 |
| 21.3 | 4.181 | 68 |
| 26.1 | 3.414 | 38 |
| 37.3 | 2.414 | 32 |
| 71.3 | 1.322 | 32 |
| 53.7 | 1.707 | 25 |
| 79.4 | 1.207 | 24 |
| 15.0 | 5.913 | 20 |
| 58.4 | 1.580 | 20 |

=====

No. 2
Starting from DFT lattice parameters and positions (GGA-PBE), the powder X-ray diffraction pattern of CsSr2Br4 was calculated for Cu Kα (weighted mean of Kα1 and Kα2).

Atomic structure:
Lattice parameters (Å, degrees): 9.691 9.691 9.970 120.54 120.54 87.40
Element x y z (fractional)
1 Cs 0.125 0.875 0.750
2 Cs 0.875 0.125 0.250
3 Sr 0.000 0.500 0.000
4 Sr 0.500 0.000 0.500
5 Sr 0.500 0.500 0.000
6 Sr 0.500 0.500 0.500
7 Br 0.265 0.731 0.446
8 Br 0.269 0.735 0.054
9 Br 0.285 0.318 0.054
10 Br 0.318 0.285 0.554
11 Br 0.682 0.715 0.446
12 Br 0.715 0.682 0.946
13 Br 0.731 0.265 0.946
14 Br 0.735 0.269 0.554

Largest 10 diffraction maxima, in order of falling intensity, 10 to 90 degrees two-theta:
| 2θ (°) | d_spacing | Rel. int. |
| --- | --- | --- |
| 32.9 | 2.723 | 100 |
| 37.1 | 2.420 | 99 |
| 36.9 | 2.434 | 97 |
| 33.3 | 2.693 | 95 |
| 36.0 | 2.492 | 94 |
| 21.8 | 4.074 | 84 |
| 34.7 | 2.586 | 74 |
| 21.1 | 4.211 | 59 |
| 17.8 | 4.985 | 56 |
| 11.1 | 7.996 | 55 |

=====

No. 3
Starting from DFT lattice parameters and positions (GGA-PBE), the powder X-ray diffraction pattern of CsSr4Br8 was calculated for Cu Kα (weighted mean of Kα1 and Kα2).

Atomic structure:
Lattice parameters (Å, degrees): 8.696 8.696 18.565 90.00 90.00 120.00
Element x y z (fractional)
1 Cs 0.000 0.000 0.000
2 Cs 0.000 0.000 0.500
3 Sr 0.000 0.000 0.250
4 Sr 0.000 0.000 0.750
5 Sr 0.011 0.506 0.250
6 Sr 0.494 0.506 0.250
7 Sr 0.494 0.989 0.250
8 Sr 0.506 0.011 0.750
9 Sr 0.506 0.494 0.750
10 Sr 0.989 0.494 0.750
11 Br 0.168 0.336 0.650
12 Br 0.168 0.336 0.850
13 Br 0.168 0.832 0.650
14 Br 0.168 0.832 0.850
15 Br 0.333 0.667 0.148
16 Br 0.333 0.667 0.352
17 Br 0.336 0.168 0.150
18 Br 0.336 0.168 0.350
19 Br 0.664 0.832 0.650
20 Br 0.664 0.832 0.850
21 Br 0.667 0.333 0.648
22 Br 0.667 0.333 0.852
23 Br 0.832 0.168 0.150
24 Br 0.832 0.168 0.350
25 Br 0.832 0.664 0.150
26 Br 0.832 0.664 0.350

Largest 10 diffraction maxima, in order of falling intensity, 10 to 90 degrees two-theta:
| 2θ (°) | d_spacing | Rel. int. |
| --- | --- | --- |
| 30.6 | 2.924 | 100 |
| 24.1 | 3.690 | 69 |
| 41.5 | 2.174 | 49 |
| 33.9 | 2.644 | 43 |
| 37.6 | 2.391 | 24 |
| 52.4 | 1.745 | 21 |
| 69.0 | 1.361 | 19 |
| 15.1 | 5.848 | 16 |
| 66.2 | 1.412 | 14 |
| 22.5 | 3.944 | 14 |

=====

No. 4
Starting from DFT lattice parameters and positions (GGA-PBE), the powder X-ray diffraction pattern of CsSrBr3 was calculated for Cu Kα (weighted mean of Kα1 and Kα2).

Atomic structure:
Lattice parameters (Å, degrees): 10.998 10.998 8.018 90.10 90.10 76.97
Element x y z (fractional)
1 Cs 0.120 0.880 0.750
2 Cs 0.376 0.624 0.250
3 Cs 0.624 0.376 0.750
4 Cs 0.880 0.120 0.250
5 Sr 0.164 0.337 0.621
6 Sr 0.337 0.164 0.121
7 Sr 0.663 0.836 0.879
8 Sr 0.836 0.663 0.379
9 Br 0.089 0.192 0.921
10 Br 0.110 0.611 0.502
11 Br 0.192 0.089 0.421
12 Br 0.312 0.410 0.920
13 Br 0.389 0.890 0.998
14 Br 0.410 0.312 0.420
15 Br 0.590 0.688 0.580
16 Br 0.611 0.110 0.002
17 Br 0.688 0.590 0.080
18 Br 0.808 0.911 0.579
19 Br 0.890 0.389 0.498
20 Br 0.911 0.808 0.079

Largest 10 diffraction maxima, in order of falling intensity, 10 to 90 degrees two-theta:
| 2θ (°) | d_spacing | Rel. int. |
| --- | --- | --- |
| 19.9 | 4.454 | 100 |
| 34.5 | 2.601 | 62 |
| 30.5 | 2.934 | 38 |
| 33.5 | 2.679 | 34 |
| 27.3 | 3.262 | 32 |
| 36.1 | 2.490 | 32 |
| 35.0 | 2.566 | 26 |
| 13.8 | 6.419 | 24 |
| 27.9 | 3.196 | 23 |
| 24.5 | 3.634 | 23 |